1.
Computed powder diffraction line list of CePmAlAu for Cu Kα X-rays, from a DFT-relaxed cell (GGA-PBE, Alexandria).
No peak broadening, texture or thermal motion is included.

Atomic structure:
```
data_CePmAlAu
_symmetry_space_group_name_H-M 'F -4 3 m'
_symmetry_Int_Tables_number 216
_symmetry_space_group_name_Hall 'F -4 2 3'
_cell_length_a 7.4379
_cell_length_b 7.4379
_cell_length_c 7.4379
_cell_angle_alpha 90.00
_cell_angle_beta 90.00
_cell_angle_gamma 90.00
loop_
_atom_site_label
_atom_site_fract_x
_atom_site_fract_y
_atom_site_fract_z
Ce1 0.0000 0.0000 0.0000
Pm1 0.0000 0.0000 0.5000
Al1 0.2500 0.2500 0.2500
Au1 0.2500 0.2500 0.7500
```

Main lines, in order of falling intensity (10° ≤ 2θ ≤ 90°):
2θ 34.09, intensity 100, hkl 2 2 0
2θ 61.03, intensity 37, hkl 4 2 2
2θ 20.68, intensity 25, hkl 1 1 1
2θ 48.99, intensity 18, hkl 4 0 0
2θ 81.92, intensity 16, hkl 6 2 0
2θ 40.21, intensity 14, hkl 3 1 1
2θ 71.79, intensity 12, hkl 4 4 0
2θ 53.72, intensity 6, hkl 3 3 1
2θ 65.17, intensity 5, hkl 5 1 1
2θ 75.64, intensity 5, hkl 5 3 1

=====

2.
Computed powder diffraction line list of Ce2BeAs4 for Cu Kα X-rays, from a DFT-relaxed cell (GGA-PBE, Alexandria).
No peak broadening, texture or thermal motion is included.

Atomic structure:
```
data_Ce2BeAs4
_symmetry_space_group_name_H-M 'P -4 m 2'
_symmetry_Int_Tables_number 115
_cell_length_a 3.9806
_cell_length_b 3.9806
_cell_length_c 9.2619
_cell_angle_alpha 90.00
_cell_angle_beta 90.00
_cell_angle_gamma 90.00
loop_
_symmetry_equiv_pos_as_xyz
'x,y,z'
'y,-x,-z'
'-x,-y,z'
'-y,x,-z'
'-x,y,z'
'-y,-x,-z'
'x,-y,z'
'y,x,-z'
loop_
_atom_site_label
_atom_site_fract_x
_atom_site_fract_y
_atom_site_fract_z
Ce1 0.0000 0.5000 0.2456
Be1 0.5000 0.5000 0.0000
As1 0.0000 0.0000 0.5000
As2 0.0000 0.5000 0.8682
As3 0.5000 0.5000 0.5000
```

Main lines, in order of falling intensity (10° ≤ 2θ ≤ 90°):
2θ 37.39, intensity 100, hkl 1 1 2
2θ 36.84, intensity 71, hkl 1 0 3
2θ 45.58, intensity 49, hkl 2 0 0
2θ 33.27, intensity 46, hkl 1 1 1
2θ 24.34, intensity 40, hkl 1 0 1
2θ 59.99, intensity 34, hkl 2 1 3
2θ 31.79, intensity 28, hkl 1 1 0
2θ 54.65, intensity 27, hkl 1 0 5
2θ 78.79, intensity 23, hkl 3 1 2
2θ 73.83, intensity 22, hkl 2 1 5